This entry pairs a crystal structure of CsTl3Cl8 with its computed powder diffractogram. Radiation: Cu Kα (λ = 1.5418 Å). Structure: a structure optimized by DFT (GGA-PBE).
Peak positions follow from Bragg's law for the DFT cell and can differ from measured ones.

Crystal structure
```
data_CsTl3Cl8
_chemical_formula_sum 'Cs1 Tl3 Cl8'
_space_group_name_H-M_alt 'P -3 m 1'
_space_group_IT_number 164
_space_group_name_Hall '-P 3 2"'
_cell_length_a 7.8506
_cell_length_b 7.8506
_cell_length_c 10.4395
_cell_angle_alpha 90.00
_cell_angle_beta 90.00
_cell_angle_gamma 120.00
loop_
_atom_site_label
_atom_site_fract_x
_atom_site_fract_y
_atom_site_fract_z
Cs1 0.0000 0.0000 0.0000
Tl1 0.0000 0.0000 0.5000
Tl2 0.3333 0.6667 0.8002
Cl1 0.1614 0.3227 0.7207
Cl2 0.3333 0.6667 0.0346
```

Principal peaks in the range 2θ = 5–70°, most intense first:
- 2θ = 15.55°, rel. 100, hkl 0 1 1
- 2θ = 22.65°, rel. 65, hkl 1 1 0
- 2θ = 21.46°, rel. 54, hkl 1 0 2
- 2θ = 31.40°, rel. 40, hkl 0 2 2
- 2θ = 35.99°, rel. 27, hkl 1 2 1
- 2θ = 39.07°, rel. 26, hkl 2 1 2
- 2θ = 43.75°, rel. 20, hkl 2 0 4
- 2θ = 46.26°, rel. 18, hkl 2 2 0
- 2θ = 34.41°, rel. 18, hkl 0 0 4
- 2θ = 39.77°, rel. 15, hkl 3 0 0
- 2θ = 36.89°, rel. 14, hkl 0 1 4
- 2θ = 28.82°, rel. 12, hkl 0 1 3